[1]
The following is a simulated X-ray diffraction stick pattern of TiInPbBr6. It was derived from DFT lattice parameters and positions (GGA-PBE), using Cu Kα.

Structural model:
a = 7.4167 Å, b = 7.4167 Å, c = 6.9060 Å
α = 90.00°, β = 90.00°, γ = 120.00°
Sites, in units of the cell vectors:
Ti1 0.0000 0.0000 0.0000
In1 0.3333 0.6667 0.5000
Pb1 0.6667 0.3333 0.0000
Br1 0.2896 0.0101 0.2225
Br2 0.2896 0.2794 0.7775
Br3 0.7206 0.0101 0.7775
Br4 0.7206 0.7104 0.2225
Br5 0.9899 0.2794 0.2225
Br6 0.9899 0.7104 0.7775

The 8 most intense peaks (5° ≤ 2θ ≤ 70°), in order of rising 2θ:
2θ = 12.82°, rel. 24.5; 2θ = 18.87°, rel. 100.0; 2θ = 27.30°, rel. 83.2; 2θ = 30.70°, rel. 28.8; 2θ = 35.52°, rel. 91.9; 2θ = 39.34°, rel. 50.5; 2θ = 42.21°, rel. 42.9; 2θ = 53.08°, rel. 23.4

***

[2]
The following is a simulated X-ray diffraction stick pattern of Hf3MnIr2. It was derived from DFT lattice parameters and positions (GGA-PBE), using Cu Kα.

Structural model:
a = 3.2759 Å, b = 3.2759 Å, c = 9.5108 Å
α = 90.00°, β = 90.00°, γ = 90.00°
Sites, in units of the cell vectors:
Hf1 0.0000 0.0000 0.0000
Hf2 0.0000 0.0000 0.3410
Hf3 0.0000 0.0000 0.6590
Mn1 0.5000 0.5000 0.5000
Ir1 0.5000 0.5000 0.1661
Ir2 0.5000 0.5000 0.8339

The 8 most intense peaks (5° ≤ 2θ ≤ 70°), in order of rising 2θ:
2θ = 9.30°, rel. 10.8; 2θ = 18.66°, rel. 1.7; 2θ = 28.82°, rel. 5.5; 2θ = 33.21°, rel. 4.5; 2θ = 38.88°, rel. 52.9; 2θ = 39.56°, rel. 100.0; 2θ = 56.15°, rel. 18.3; 2θ = 58.20°, rel. 8.0

***

[3]
The following is a simulated X-ray diffraction stick pattern of Y6Ho3Er2. It was derived from DFT lattice parameters and positions (GGA-PBE), using Cu Kα.

Structural model:
a = 31.8536 Å, b = 31.8536 Å, c = 31.8536 Å
α = 6.39°, β = 6.39°, γ = 6.39°
Sites, in units of the cell vectors:
Y1 0.0909 0.0909 0.0909
Y2 0.1820 0.1820 0.1820
Y3 0.3636 0.3636 0.3636
Y4 0.6364 0.6364 0.6364
Y5 0.8180 0.8180 0.8180
Y6 0.9091 0.9091 0.9091
Ho1 0.0000 0.0000 0.0000
Ho2 0.2727 0.2727 0.2727
Ho3 0.7273 0.7273 0.7273
Er1 0.4545 0.4545 0.4545
Er2 0.5455 0.5455 0.5455

The 8 most intense peaks (5° ≤ 2θ ≤ 70°), in order of rising 2θ:
2θ = 13.93°, rel. 5.3; 2θ = 30.88°, rel. 100.0; 2θ = 35.81°, rel. 50.3; 2θ = 51.49°, rel. 17.8; 2θ = 51.60°, rel. 17.6; 2θ = 61.28°, rel. 31.3; 2θ = 61.39°, rel. 10.4; 2θ = 64.30°, rel. 9.0

***

[4]
The following is a simulated X-ray diffraction stick pattern of LiNbP4O12. It was derived from DFT lattice parameters and positions (GGA-PBE), using Cu Kα.

Structural model:
a = 10.8848 Å, b = 10.8848 Å, c = 5.4919 Å
α = 101.32°, β = 101.32°, γ = 70.76°
Sites, in units of the cell vectors:
Li1 0.0979 0.0979 0.4772
Li2 0.9021 0.9021 0.5228
Nb1 0.0000 0.5000 0.0000
Nb2 0.5000 0.0000 0.0000
P1 0.1389 0.7042 0.8325
P2 0.2004 0.4349 0.5437
P3 0.2958 0.8611 0.1675
P4 0.4349 0.2004 0.5437
P5 0.5651 0.7996 0.4563
P6 0.7042 0.1389 0.8325
P7 0.7996 0.5651 0.4563
P8 0.8611 0.2958 0.1675
O1 0.0611 0.8137 0.6894
O2 0.0698 0.6599 0.9982
O3 0.1142 0.3995 0.6844
O4 0.1677 0.4195 0.2610
O5 0.1863 0.9389 0.3106
O6 0.2129 0.5789 0.6445
O7 0.2684 0.7316 0.0000
O8 0.3401 0.9302 0.0018
O9 0.3516 0.3516 0.6130
O10 0.3995 0.1142 0.6844
O11 0.4195 0.1677 0.2610
O12 0.4211 0.7871 0.3555
O13 0.5789 0.2129 0.6445
O14 0.5805 0.8323 0.7390
O15 0.6005 0.8858 0.3156
O16 0.6484 0.6484 0.3870
O17 0.6599 0.0698 0.9982
O18 0.7316 0.2684 0.0000
O19 0.7871 0.4211 0.3555
O20 0.8137 0.0611 0.6894
O21 0.8323 0.5805 0.7390
O22 0.8858 0.6005 0.3156
O23 0.9302 0.3401 0.0018
O24 0.9389 0.1863 0.3106

The 8 most intense peaks (5° ≤ 2θ ≤ 70°), in order of rising 2θ:
2θ = 10.27°, rel. 71.6; 2θ = 14.05°, rel. 100.0; 2θ = 16.97°, rel. 24.9; 2θ = 21.84°, rel. 54.6; 2θ = 23.22°, rel. 27.1; 2θ = 25.87°, rel. 15.6; 2θ = 27.24°, rel. 15.5; 2θ = 33.02°, rel. 26.4

***

[5]
The following is a simulated X-ray diffraction stick pattern of LiPuTeS. It was derived from DFT lattice parameters and positions (GGA-PBE), using Cu Kα.

Structural model:
a = 4.4792 Å, b = 4.4792 Å, c = 9.7295 Å
α = 90.00°, β = 90.00°, γ = 90.00°
Sites, in units of the cell vectors:
Li1 0.2500 0.7500 0.0000
Li2 0.7500 0.2500 0.0000
Pu1 0.2500 0.2500 0.3455
Pu2 0.7500 0.7500 0.6545
Te1 0.2500 0.2500 0.8263
Te2 0.7500 0.7500 0.1737
S1 0.2500 0.7500 0.5000
S2 0.7500 0.2500 0.5000

The 8 most intense peaks (5° ≤ 2θ ≤ 70°), in order of rising 2θ:
2θ = 9.09°, rel. 30.5; 2θ = 27.06°, rel. 100.0; 2θ = 28.17°, rel. 44.8; 2θ = 33.77°, rel. 21.0; 2θ = 40.27°, rel. 26.9; 2θ = 42.28°, rel. 22.7; 2θ = 49.19°, rel. 40.0; 2θ = 59.81°, rel. 16.5

***

[6]
The following is a simulated X-ray diffraction stick pattern of Y2Pu2Ru3. It was derived from DFT lattice parameters and positions (GGA-PBE), using Cu Kα.

Structural model:
a = 8.7763 Å, b = 8.7763 Å, c = 8.7763 Å
α = 30.46°, β = 30.46°, γ = 30.46°
Sites, in units of the cell vectors:
Y1 0.1255 0.1255 0.1255
Y2 0.8745 0.8745 0.8745
Pu1 0.3773 0.3773 0.3773
Pu2 0.6227 0.6227 0.6227
Ru1 0.0000 0.0000 0.0000
Ru2 0.2582 0.2582 0.2582
Ru3 0.7418 0.7418 0.7418

The 8 most intense peaks (5° ≤ 2θ ≤ 70°), in order of rising 2θ:
2θ = 10.58°, rel. 69.4; 2θ = 26.46°, rel. 29.9; 2θ = 36.43°, rel. 100.0; 2θ = 39.07°, rel. 86.0; 2θ = 40.59°, rel. 17.6; 2θ = 54.48°, rel. 31.5; 2θ = 63.77°, rel. 17.3; 2θ = 69.06°, rel. 30.8

***

- Which formula does entry 4 have?
  LiNbP4O12